# Na8TiO6
Simulated powder X-ray diffraction pattern, a wavelength of 1.5418 Å. Input: a cell relaxed with GGA-PBE.

Most intense lines, 10° ≤ 2θ ≤ 80°, sorted by position:
2θ (°)	Rel. int.	h k l
15.80	31	2 0 1
30.81	43	4 1 1
31.73	31	2 2 1
31.91	44	4 0 2
33.09	100	0 2 2
33.74	45	1 2 2
36.69	73	3 1 3
40.17	38	5 1 2
45.95	38	6 1 2
54.15	44	4 2 4

Cell and atoms:
```
data_Na8TiO6
_chemical_formula_sum 'Na32 Ti4 O24'
_cell_length_a 13.7528
_cell_length_b 6.5245
_cell_length_c 9.7006
_cell_angle_alpha 90.00
_cell_angle_beta 90.00
_cell_angle_gamma 90.00
_symmetry_space_group_name_H-M 'P n a 21'
_symmetry_Int_Tables_number 33
loop_
_symmetry_equiv_pos_as_xyz
'x,y,z'
'-x,-y,z+1/2'
'-x+1/2,y+1/2,z+1/2'
'x+1/2,-y+1/2,z'
loop_
_atom_site_label
_atom_site_fract_x
_atom_site_fract_y
_atom_site_fract_z
Na1 0.0053 0.0045 0.0000
Na2 0.0438 0.7423 0.7759
Na3 0.0720 0.4721 0.0705
Na4 0.1108 0.5047 0.4138
Na5 0.1139 0.8608 0.2370
Na6 0.2150 0.0852 0.0643
Na7 0.2232 0.0731 0.4636
Na8 0.2232 0.8683 0.7810
Ti1 0.1281 0.2780 0.7548
O1 0.0195 0.2950 0.8679
O2 0.1156 0.0456 0.6498
O3 0.1239 0.2307 0.2530
O4 0.1293 0.5067 0.6455
O5 0.1351 0.7809 0.9916
O6 0.2432 0.2475 0.8554
```